Entry 1:
This entry pairs a crystal structure of SmCd6Ag2 with its theoretical X-ray powder pattern. Radiation: Cu Kα. Structure: a crystal structure in Alexandria, relaxed with GGA-PBE.
Kinematic intensities with the Lorentz-polarization factor, no thermal factor.

Top 12 peaks for 2θ = 5–70°, low angle first:
d [Å]	2θ/deg	Rel. int.
3.182	28.04	15
2.873	31.13	19
2.746	32.60	12
2.661	33.68	13
2.554	35.13	100
2.426	37.05	48
2.390	37.63	58
2.377	37.86	26
2.134	42.35	23
1.698	54.01	18
1.562	59.16	10
1.424	65.54	15

abc: 9.5475 9.5475 4.8527
angles: 90.00 90.00 70.24
Element x y z (fractional)
Sm 0.2032 0.7968 0.7500
Sm 0.7968 0.2032 0.2500
Cd 0.0334 0.1850 0.7500
Cd 0.0500 0.3786 0.2500
Cd 0.1850 0.0334 0.2500
Cd 0.2657 0.5503 0.2500
Cd 0.3786 0.0500 0.7500
Cd 0.4497 0.7343 0.2500
Cd 0.5503 0.2657 0.7500
Cd 0.6214 0.9500 0.2500
Cd 0.7343 0.4497 0.7500
Cd 0.8150 0.9666 0.7500
Cd 0.9500 0.6214 0.7500
Cd 0.9666 0.8150 0.2500
Ag 0.2355 0.3934 0.7500
Ag 0.3934 0.2355 0.2500
Ag 0.6066 0.7645 0.7500
Ag 0.7645 0.6066 0.2500


Entry 2:
This entry pairs a crystal structure of Th4PaS10 with its theoretical X-ray powder pattern. Radiation: Cu Kα. Structure: a crystal structure in Alexandria, relaxed with GGA-PBE.
Kinematic intensities with the Lorentz-polarization factor, no thermal factor.

Top 9 peaks for 2θ = 5–70°, low angle first:
d [Å]	2θ/deg	Rel. int.
3.839	23.17	100
3.325	26.81	25
2.351	38.28	70
2.005	45.23	53
1.920	47.36	8
1.662	55.26	12
1.526	60.71	23
1.487	62.46	11
1.357	69.22	25

abc: 8.1441 8.1441 8.1441
angles: 99.60 99.60 131.81
Element x y z (fractional)
Th 0.0997 0.2991 0.3988
Th 0.2991 0.9003 0.1993
Th 0.7009 0.0997 0.8007
Th 0.9003 0.7009 0.6012
Pa 0.5000 0.5000 0.0000
S 0.0549 0.1535 0.7026
S 0.1535 0.4509 0.0985
S 0.2500 0.7500 0.5000
S 0.3523 0.0549 0.9015
S 0.4509 0.3523 0.2974
S 0.5491 0.6477 0.7026
S 0.6477 0.9451 0.0985
S 0.7500 0.2500 0.5000
S 0.8465 0.5491 0.9015
S 0.9451 0.8465 0.2974


Entry 3:
This entry pairs a crystal structure of Tm5ThSn3 with its theoretical X-ray powder pattern. Radiation: Cu Kα. Structure: a crystal structure in Alexandria, relaxed with GGA-PBE.
Kinematic intensities with the Lorentz-polarization factor, no thermal factor.

Top 12 peaks for 2θ = 5–70°, low angle first:
d [Å]	2θ/deg	Rel. int.
2.934	30.47	100
2.605	34.43	21
2.511	35.75	20
2.424	37.09	22
2.266	39.79	10
2.032	44.60	6
1.890	48.15	6
1.780	51.34	6
1.774	51.50	14
1.722	53.18	6
1.560	59.23	9
1.480	62.80	9

abc: 11.0052 11.0052 11.0052
angles: 140.88 140.88 56.52
Element x y z (fractional)
Tm 0.0000 0.0000 0.0000
Tm 0.0717 0.5717 0.8941
Tm 0.1776 0.0717 0.5000
Tm 0.3224 0.8224 0.8941
Tm 0.4283 0.3224 0.5000
Tm 0.5000 0.5000 0.0000
Tm 0.5717 0.6776 0.5000
Tm 0.6776 0.1776 0.1059
Tm 0.8224 0.9283 0.5000
Tm 0.9283 0.4283 0.1059
Th 0.2500 0.7500 0.5000
Th 0.7500 0.2500 0.5000
Sn 0.1290 0.3710 0.5000
Sn 0.2500 0.2500 0.0000
Sn 0.3710 0.8710 0.2419
Sn 0.6290 0.1290 0.7581
Sn 0.7500 0.7500 0.0000
Sn 0.8710 0.6290 0.5000


Entry 4:
This entry pairs a crystal structure of RbMn with its theoretical X-ray powder pattern. Radiation: Cu Kα. Structure: a crystal structure in Alexandria, relaxed with GGA-PBE.
Kinematic intensities with the Lorentz-polarization factor, no thermal factor.

Top 12 peaks for 2θ = 5–70°, low angle first:
d [Å]	2θ/deg	Rel. int.
7.485	11.82	100
5.292	16.75	26
4.321	20.55	20
3.742	23.78	61
3.056	29.23	15
2.829	31.63	52
2.495	36.00	42
2.367	38.02	20
2.161	41.81	15
1.815	50.26	23
1.717	53.36	28
1.497	62.00	14

abc: 9.1666 9.1666 9.1666
angles: 109.47 109.47 109.47
Element x y z (fractional)
Rb 0.0000 0.0000 0.4272
Rb 0.0000 0.4272 0.0000
Rb 0.4272 0.0000 0.0000
Rb 0.5728 0.5728 0.5728
Mn 0.0000 0.0000 0.8289
Mn 0.0000 0.8289 0.0000
Mn 0.1711 0.1711 0.1711
Mn 0.8289 0.0000 0.0000


Entry 5:
This entry pairs a crystal structure of Pm4InPbN with its theoretical X-ray powder pattern. Radiation: Cu Kα. Structure: a crystal structure in Alexandria, relaxed with GGA-PBE.
Kinematic intensities with the Lorentz-polarization factor, no thermal factor.

Top 12 peaks for 2θ = 5–70°, low angle first:
d [Å]	2θ/deg	Rel. int.
8.269	10.70	9
3.459	25.75	20
3.191	27.96	65
2.756	32.48	30
2.653	33.78	100
2.446	36.74	60
1.830	49.84	36
1.730	52.94	21
1.521	60.92	15
1.492	62.22	18
1.465	63.50	17
1.449	64.29	31

abc: 8.9633 8.9633 6.9196
angles: 90.00 90.00 134.60
Element x y z (fractional)
Pm 0.0000 0.5000 0.0000
Pm 0.0000 0.5000 0.5000
Pm 0.0871 0.9129 0.7500
Pm 0.4101 0.5899 0.7500
Pm 0.5000 0.0000 0.0000
Pm 0.5000 0.0000 0.5000
Pm 0.5899 0.4101 0.2500
Pm 0.9129 0.0871 0.2500
In 0.1113 0.8887 0.2500
In 0.8887 0.1113 0.7500
Pb 0.3926 0.6074 0.2500
Pb 0.6074 0.3926 0.7500
N 0.2511 0.7489 0.7500
N 0.7489 0.2511 0.2500


Entry 6:
This entry pairs a crystal structure of CsTbDy4S8 with its theoretical X-ray powder pattern. Radiation: Cu Kα. Structure: a crystal structure in Alexandria, relaxed with GGA-PBE.
Kinematic intensities with the Lorentz-polarization factor, no thermal factor.

Top 12 peaks for 2θ = 5–70°, low angle first:
d [Å]	2θ/deg	Rel. int.
6.816	12.99	18
4.174	21.29	36
3.561	25.00	100
3.552	25.07	34
3.402	26.19	16
2.951	30.29	28
2.273	39.65	42
2.268	39.74	21
2.091	43.26	39
2.082	43.47	38
1.798	50.79	15
1.534	60.34	16

abc: 8.3661 8.3661 8.3661
angles: 59.70 59.70 59.70
Element x y z (fractional)
Cs 0.0000 0.0000 0.0000
Tb 0.6322 0.6322 0.6322
Dy 0.1138 0.6312 0.6312
Dy 0.2522 0.2522 0.2522
Dy 0.6312 0.1138 0.6312
Dy 0.6312 0.6312 0.1138
S 0.3837 0.3837 0.3837
S 0.3839 0.3839 0.8570
S 0.3839 0.8570 0.3839
S 0.4415 0.8568 0.8568
S 0.8544 0.8544 0.8544
S 0.8570 0.3839 0.3839
S 0.8568 0.4415 0.8568
S 0.8568 0.8568 0.4415


Entry 7:
This entry pairs a crystal structure of NaAlGeO4 with its theoretical X-ray powder pattern. Radiation: Cu Kα. Structure: a crystal structure in Alexandria, relaxed with GGA-PBE.
Kinematic intensities with the Lorentz-polarization factor, no thermal factor.

Top 12 peaks for 2θ = 5–70°, low angle first:
d [Å]	2θ/deg	Rel. int.
4.524	19.62	86
4.485	19.80	71
2.877	31.09	17
2.619	34.23	42
2.597	34.54	72
2.426	37.06	100
2.156	41.91	21
1.778	51.38	40
1.769	51.68	30
1.473	63.13	19
1.466	63.46	28
1.439	64.80	21

abc: 2.8777 10.4769 8.9698
angles: 90.00 90.00 90.00
Element x y z (fractional)
Na 0.0000 0.0898 0.0000
Na 0.0000 0.9102 0.5000
Na 0.5000 0.4002 0.5174
Na 0.5000 0.5998 0.0174
Al 0.5000 0.1478 0.6810
Al 0.5000 0.3621 0.1957
Al 0.5000 0.6379 0.6957
Al 0.5000 0.8522 0.1810
Ge 0.0000 0.1382 0.3162
Ge 0.0000 0.3515 0.8464
Ge 0.0000 0.6485 0.3464
Ge 0.0000 0.8618 0.8162
O 0.0000 0.0354 0.7358
O 0.0000 0.2655 0.6519
O 0.0000 0.3209 0.3305
O 0.0000 0.4007 0.0570
O 0.0000 0.5993 0.5570
O 0.0000 0.6791 0.8305
O 0.0000 0.7345 0.1519
O 0.0000 0.9646 0.2358
O 0.5000 0.1031 0.4598
O 0.5000 0.1751 0.1798
O 0.5000 0.2330 0.8800
O 0.5000 0.4647 0.7889
O 0.5000 0.5353 0.2889
O 0.5000 0.7670 0.3800
O 0.5000 0.8249 0.6798
O 0.5000 0.8969 0.9598